Entry 1:
For CsCu3F6, a crystal structure in Alexandria, relaxed with PBE gives the calculated X-ray powder pattern in this record (Cu Kα, 1.54184 Å).
Peak positions follow from Bragg's law for the DFT cell and can differ from measured ones.

Peak list (8 most intense, 2θ from 10° to 90°, by angle)
- d = 3.391 Å, I = 98, (1 1 0)
- d = 3.253 Å, I = 100, (-1 1 1)
- d = 3.023 Å, I = 73, (1 -1 1)
- d = 2.801 Å, I = 47, (1 1 -2)
- d = 2.775 Å, I = 45, (2 0 -1)
- d = 2.744 Å, I = 42, (0 2 -1)
- d = 2.535 Å, I = 45, (0 0 2)
- d = 1.991 Å, I = 28, (2 -2 0)

abc: 5.574 5.594 5.846
angles: 107.38 113.03 91.34
Space group P1 (No. 1)
Asymmetric unit:
1 Cs 0.000 0.000 0.000 [1 per cell]
2 Cu 0.216 0.721 0.498 [1 per cell]
3 Cu 0.614 0.550 0.119 [1 per cell]
4 Cu 0.709 0.235 0.516 [1 per cell]
5 F 0.385 0.707 0.884 [1 per cell]
6 F 0.413 0.480 0.312 [1 per cell]
7 F 0.452 0.013 0.539 [1 per cell]
8 F 0.805 0.470 0.896 [1 per cell]
9 F 0.904 0.437 0.390 [1 per cell]
10 F 0.910 0.935 0.443 [1 per cell]

***

Entry 2:
For AcCdH4Pd6, a crystal structure in Alexandria, relaxed with PBE gives the calculated X-ray powder pattern in this record (Cu Kα, 1.54184 Å).
Peak positions follow from Bragg's law for the DFT cell and can differ from measured ones.

Peak list (8 most intense, 2θ from 10° to 90°, by angle)
- d = 3.884 Å, I = 20, (1 0 1)
- d = 2.777 Å, I = 90, (1 0 2)
- d = 2.352 Å, I = 100, (2 0 0)
- d = 2.132 Å, I = 42, (1 1 2)
- d = 1.642 Å, I = 24, (2 0 3)
- d = 1.580 Å, I = 32, (2 1 2)
- d = 1.389 Å, I = 15, (2 0 4)
- d = 1.358 Å, I = 17, (2 2 0)

abc: 5.4324 5.4324 6.8813
angles: 90.00 90.00 120.00
Space group P6/mmm (No. 191)
Asymmetric unit:
1 Ac 0.0000 0.0000 0.0000 [1 per cell]
2 Cd 0.0000 0.0000 0.5000 [1 per cell]
3 H 0.3333 0.6667 0.1623 [4 per cell]
4 Pd 0.0000 0.5000 0.2941 [6 per cell]